For Zr10NiSnSb4, a cell relaxed with PBE gives the calculated powder XRD pattern in this record (Cu Kα, 1.54184 Å).
Kinematic intensities with the Lorentz-polarization factor, no thermal factor.

The 12 most intense peaks (5° ≤ 2θ ≤ 70°), most intense first:
2θ = 36.87°, I = 100; 2θ = 35.91°, I = 47; 2θ = 36.08°, I = 42; 2θ = 33.07°, I = 37; 2θ = 39.63°, I = 26; 2θ = 60.49°, I = 23; 2θ = 32.19°, I = 20; 2θ = 69.38°, I = 16; 2θ = 46.68°, I = 15; 2θ = 34.01°, I = 14; 2θ = 68.21°, I = 11; 2θ = 46.03°, I = 11

Structure:
```
Zr10NiSnSb4
1.0
-5.593 5.593 2.780
5.593 -5.593 2.780
5.593 5.593 -2.780
Zr Ni Sn Sb
10 1 1 4
Direct
0.000 0.500 0.500
0.024 0.164 0.707
0.164 0.457 0.140
0.317 0.024 0.860
0.457 0.317 0.293
0.500 0.000 0.500
0.543 0.836 0.860
0.683 0.543 0.707
0.836 0.976 0.293
0.976 0.683 0.140
0.000 0.000 0.000
0.500 0.500 0.000
0.086 0.914 0.500
0.414 0.586 0.500
0.586 0.086 0.173
0.914 0.414 0.827
```



For Li6CuB4O10, a cell relaxed with PBE gives the calculated powder XRD pattern in this record (Cu Kα, 1.54184 Å).
Kinematic intensities with the Lorentz-polarization factor, no thermal factor.

The 12 most intense peaks (5° ≤ 2θ ≤ 70°), most intense first:
2θ = 30.47°, I = 100; 2θ = 12.89°, I = 87; 2θ = 20.10°, I = 30; 2θ = 14.24°, I = 30; 2θ = 27.13°, I = 24; 2θ = 31.32°, I = 24; 2θ = 18.37°, I = 23; 2θ = 44.21°, I = 21; 2θ = 28.05°, I = 18; 2θ = 21.52°, I = 16; 2θ = 37.76°, I = 15; 2θ = 21.93°, I = 15

Structure:
```
Li6CuB4O10
1.0
4.798 0.000 0.000
1.659 6.245 0.000
2.340 0.618 6.867
Li Cu B O
6 1 4 10
Direct
0.000 0.000 0.000
0.031 0.603 0.189
0.077 0.465 0.905
0.592 0.272 0.841
0.653 0.783 0.783
0.876 0.474 0.558
0.884 0.956 0.404
0.271 0.174 0.620
0.351 0.651 0.553
0.415 0.239 0.242
0.518 0.744 0.181
0.028 0.230 0.778
0.047 0.719 0.574
0.214 0.253 0.437
0.230 0.835 0.174
0.304 0.345 0.095
0.459 0.562 0.706
0.547 0.061 0.637
0.573 0.660 0.366
0.704 0.128 0.215
0.767 0.720 0.023
```



For LiAg2P3H2O10, a cell relaxed with PBE gives the calculated powder XRD pattern in this record (Cu Kα, 1.54184 Å).
Kinematic intensities with the Lorentz-polarization factor, no thermal factor.

The 12 most intense peaks (5° ≤ 2θ ≤ 70°), most intense first:
2θ = 12.30°, I = 100; 2θ = 27.60°, I = 52; 2θ = 24.74°, I = 46; 2θ = 29.57°, I = 37; 2θ = 30.74°, I = 34; 2θ = 33.45°, I = 29; 2θ = 36.56°, I = 28; 2θ = 31.40°, I = 27; 2θ = 39.45°, I = 21; 2θ = 15.26°, I = 20; 2θ = 30.95°, I = 18; 2θ = 24.85°, I = 18

Structure:
```
LiAg2P3H2O10
1.0
7.728 0.000 0.000
2.288 7.385 0.000
2.403 1.886 7.948
Li Ag P H O
2 4 6 4 20
Direct
0.081 0.296 0.335
0.919 0.704 0.665
0.339 0.562 0.404
0.417 0.304 0.985
0.583 0.696 0.015
0.661 0.438 0.596
0.100 0.713 0.094
0.261 0.175 0.674
0.264 0.761 0.732
0.736 0.239 0.268
0.739 0.825 0.326
0.900 0.287 0.906
0.225 0.010 0.177
0.350 0.005 0.293
0.650 0.995 0.707
0.775 0.990 0.823
0.100 0.785 0.895
0.110 0.173 0.849
0.117 0.507 0.148
0.172 0.289 0.528
0.176 0.739 0.605
0.236 0.792 0.135
0.257 0.092 0.230
0.323 0.958 0.669
0.429 0.220 0.695
0.431 0.615 0.783
0.569 0.385 0.217
0.571 0.780 0.305
0.677 0.042 0.331
0.743 0.908 0.770
0.764 0.208 0.865
0.824 0.261 0.395
0.828 0.711 0.472
0.883 0.493 0.852
0.890 0.827 0.151
0.900 0.215 0.105
```



For Li2FeS2, a cell relaxed with PBE gives the calculated powder XRD pattern in this record (Cu Kα, 1.54184 Å).
Kinematic intensities with the Lorentz-polarization factor, no thermal factor.

The 12 most intense peaks (5° ≤ 2θ ≤ 70°), most intense first:
2θ = 15.90°, I = 100; 2θ = 13.29°, I = 31; 2θ = 27.11°, I = 30; 2θ = 43.30°, I = 29; 2θ = 27.76°, I = 28; 2θ = 45.90°, I = 23; 2θ = 31.80°, I = 13; 2θ = 48.26°, I = 12; 2θ = 46.63°, I = 11; 2θ = 33.68°, I = 10; 2θ = 43.05°, I = 7; 2θ = 36.91°, I = 7

Structure:
```
Li2FeS2
1.0
8.869 0.000 0.000
0.000 6.136 0.000
-8.235 0.000 13.320
Li Fe S
16 8 16
Direct
0.081 0.031 0.312
0.081 0.469 0.812
0.146 0.624 0.452
0.146 0.876 0.952
0.352 0.517 0.753
0.352 0.983 0.253
0.384 0.058 0.838
0.384 0.442 0.338
0.616 0.558 0.662
0.616 0.942 0.162
0.648 0.017 0.747
0.648 0.483 0.247
0.854 0.124 0.048
0.854 0.376 0.548
0.919 0.531 0.188
0.919 0.969 0.688
0.128 0.009 0.590
0.128 0.491 0.090
0.372 0.015 0.525
0.372 0.485 0.025
0.628 0.515 0.975
0.628 0.985 0.475
0.872 0.509 0.910
0.872 0.991 0.410
0.118 0.230 0.460
0.118 0.270 0.960
0.127 0.240 0.704
0.127 0.260 0.204
0.359 0.705 0.900
0.359 0.795 0.400
0.373 0.717 0.144
0.373 0.783 0.644
0.627 0.217 0.356
0.627 0.283 0.856
0.641 0.205 0.600
0.641 0.295 0.100
0.873 0.740 0.796
0.873 0.760 0.296
0.882 0.730 0.040
0.882 0.770 0.540
```



For CdInGaS4, a cell relaxed with PBE gives the calculated powder XRD pattern in this record (Cu Kα, 1.54184 Å).
Kinematic intensities with the Lorentz-polarization factor, no thermal factor.

The 12 most intense peaks (5° ≤ 2θ ≤ 70°), most intense first:
2θ = 29.04°, I = 100; 2θ = 26.32°, I = 97; 2θ = 44.68°, I = 71; 2θ = 25.35°, I = 67; 2θ = 43.95°, I = 65; 2θ = 6.95°, I = 58; 2θ = 20.96°, I = 41; 2θ = 38.18°, I = 35; 2θ = 28.07°, I = 31; 2θ = 50.27°, I = 30; 2θ = 53.60°, I = 29; 2θ = 49.84°, I = 24

Structure:
```
CdInGaS4
1.0
4.057 0.000 0.000
-2.028 3.513 0.000
0.000 0.000 12.715
Cd In Ga S
1 1 1 4
Direct
0.000 0.000 0.000
0.333 0.667 0.284
0.333 0.667 0.721
0.000 0.000 0.802
0.333 0.667 0.083
0.333 0.667 0.557
0.667 0.333 0.356
```



For Li2H2Pd, a cell relaxed with PBE gives the calculated powder XRD pattern in this record (Cu Kα, 1.54184 Å).
Kinematic intensities with the Lorentz-polarization factor, no thermal factor.

The 12 most intense peaks (5° ≤ 2θ ≤ 70°), most intense first:
2θ = 29.90°, I = 100; 2θ = 17.17°, I = 97; 2θ = 38.95°, I = 60; 2θ = 44.65°, I = 33; 2θ = 40.89°, I = 29; 2θ = 53.19°, I = 28; 2θ = 67.74°, I = 18; 2θ = 54.71°, I = 16; 2θ = 34.75°, I = 15; 2θ = 62.13°, I = 12; 2θ = 69.22°, I = 11; 2θ = 59.20°, I = 9

Structure:
```
Li2H2Pd
1.0
-1.561 1.561 5.163
1.561 -1.561 5.163
1.561 1.561 -5.163
Li H Pd
2 2 1
Direct
0.147 0.147 0.000
0.853 0.853 0.000
0.336 0.336 0.000
0.664 0.664 0.000
0.500 0.500 0.000
```



For Cs3Y2Cl9, a cell relaxed with PBE gives the calculated powder XRD pattern in this record (Cu Kα, 1.54184 Å).
Kinematic intensities with the Lorentz-polarization factor, no thermal factor.

The 12 most intense peaks (5° ≤ 2θ ≤ 70°), most intense first:
2θ = 30.16°, I = 100; 2θ = 22.99°, I = 56; 2θ = 19.26°, I = 47; 2θ = 39.09°, I = 32; 2θ = 46.97°, I = 27; 2θ = 31.18°, I = 20; 2θ = 51.04°, I = 20; 2θ = 28.11°, I = 17; 2θ = 38.26°, I = 16; 2θ = 45.83°, I = 15; 2θ = 56.84°, I = 13; 2θ = 40.38°, I = 13

Structure:
```
Cs3Y2Cl9
1.0
6.701 3.869 6.349
-6.701 3.869 6.349
0.000 -7.737 6.349
Cs Y Cl
6 4 18
Direct
0.089 0.750 0.411
0.250 0.589 0.911
0.411 0.089 0.750
0.589 0.911 0.250
0.750 0.411 0.089
0.911 0.250 0.589
0.151 0.151 0.151
0.349 0.349 0.349
0.651 0.651 0.651
0.849 0.849 0.849
0.077 0.918 0.735
0.082 0.265 0.923
0.100 0.400 0.250
0.235 0.418 0.577
0.250 0.100 0.400
0.265 0.923 0.082
0.400 0.250 0.100
0.418 0.577 0.235
0.423 0.765 0.582
0.577 0.235 0.418
0.582 0.423 0.765
0.600 0.750 0.900
0.735 0.077 0.918
0.750 0.900 0.600
0.765 0.582 0.423
0.900 0.600 0.750
0.918 0.735 0.077
0.923 0.082 0.265
```